This entry pairs a crystal structure of Ac2HgGe with its simulated XRD peak list. Radiation: a wavelength of 1.5418 Å. Structure: a DFT-relaxed cell (PBE, Alexandria).
No peak broadening, texture or thermal motion is included.

Largest 10 diffraction maxima, in order of rising 2θ, 2θ = 10–80°:
two_theta	intensity
19.32	7
22.35	6
31.81	100
37.49	4
39.23	2
45.61	19
51.36	3
56.68	40
66.48	12
75.59	17

```
data_Ac2HgGe
_symmetry_space_group_name_H-M 'F m -3 m'
_symmetry_Int_Tables_number 225
_symmetry_space_group_name_Hall '-F 4 2 3'
_cell_length_a 7.956
_cell_length_b 7.956
_cell_length_c 7.956
_cell_angle_alpha 90.00
_cell_angle_beta 90.00
_cell_angle_gamma 90.00
loop_
_atom_site_label
_atom_site_fract_x
_atom_site_fract_y
_atom_site_fract_z
_atom_site_occupancy
Ac1 0.250 0.250 0.250 1
Hg1 0.000 0.000 0.000 1
Ge1 0.000 0.000 0.500 1
```